1.
# ThGeBi
Computed PXRD pattern, Cu Kα, 1.54184 Å. Input: a cell relaxed with PBE.
Lines closer than 0.1° are merged.

Crystal structure
Cell lengths 4.470, 17.012, 4.316 Å; angles 90.00, 90.00, 90.00 degrees
Space group Cmcm (No. 63)
Symmetry-distinct sites (fractional):
Th 0.000 0.095 0.250
Ge 0.000 0.449 0.250
Bi 0.000 0.250 0.750

The 6 most intense peaks (2θ from 10° to 90°), in order of rising 2θ:
2θ 23.11, d = 3.849 Å, intensity 13, hkl 0 2 1; 2θ 31.56, d = 2.835 Å, intensity 22, hkl 0 6 0; 2θ 32.89, d = 2.723 Å, intensity 100, hkl 1 3 1; 2θ 40.35, d = 2.235 Å, intensity 16, hkl 2 0 0; 2θ 41.86, d = 2.158 Å, intensity 15, hkl 0 0 2; 2θ 68.66, d = 1.367 Å, intensity 12, hkl 3 3 1

2.
# ThGeBi
Computed PXRD pattern, Cu Kα, 1.54184 Å. Input: a cell relaxed with PBE.
Lines closer than 0.1° are merged.

Crystal structure
Cell lengths 4.3372, 4.3372, 10.8412 Å; angles 90.00, 90.00, 120.00 degrees
Space group P-3m1 (No. 164)
Symmetry-distinct sites (fractional):
Th 0.0000 0.0000 0.1816
Ge 0.3333 0.6667 0.9899
Bi 0.3333 0.6667 0.3936

The 6 most intense peaks (2θ from 10° to 90°), in order of rising 2θ:
2θ 25.09, d = 3.549 Å, intensity 55, hkl 0 1 1; 2θ 28.92, d = 3.087 Å, intensity 100, hkl 0 1 2; 2θ 34.44, d = 2.604 Å, intensity 92, hkl 1 0 3; 2θ 41.65, d = 2.169 Å, intensity 82, hkl 1 1 0; 2θ 55.11, d = 1.666 Å, intensity 25, hkl 0 2 3; 2θ 60.37, d = 1.533 Å, intensity 36, hkl 1 1 5

3.
# Tm7Ge5Bi
Computed PXRD pattern, Cu Kα, 1.54184 Å. Input: a cell relaxed with PBE.
Lines closer than 0.1° are merged.

Crystal structure
Cell lengths 5.855, 10.737, 9.924 Å; angles 90.00, 90.00, 90.00 degrees
Space group Imm2 (No. 44)
Symmetry-distinct sites (fractional):
Tm 0.000 0.000 0.000
Tm 0.000 0.000 0.372
Tm 0.000 0.332 0.632
Tm 0.000 0.333 0.097
Tm 0.000 0.500 0.356
Ge 0.000 0.500 0.863
Ge 0.234 0.257 0.367
Bi 0.000 0.000 0.679

The 6 most intense peaks (2θ from 10° to 90°), in order of rising 2θ:
2θ 29.24, d = 3.054 Å, intensity 91, hkl 1 3 0; 2θ 30.53, d = 2.928 Å, intensity 58, hkl 2 0 0; 2θ 31.05, d = 2.880 Å, intensity 60, hkl 1 0 3; 2θ 34.49, d = 2.601 Å, intensity 100, hkl 1 3 2; 2θ 39.48, d = 2.282 Å, intensity 66, hkl 2 2 2; 2θ 60.65, d = 1.527 Å, intensity 37, hkl 2 6 0

4.
# Bi8H
Computed PXRD pattern, Cu Kα, 1.54184 Å. Input: a cell relaxed with PBE.
Lines closer than 0.1° are merged.

Crystal structure
Cell lengths 4.678, 8.834, 8.837 Å; angles 63.41, 81.25, 81.39 degrees
Space group P1 (No. 1)
Symmetry-distinct sites (fractional):
Bi 0.000 0.000 0.000
Bi 0.001 0.486 0.510
Bi 0.009 0.988 0.496
Bi 0.022 0.478 0.983
Bi 0.540 0.288 0.800
Bi 0.635 0.836 0.350
Bi 0.661 0.838 0.849
Bi 0.662 0.341 0.342
H 0.290 0.557 0.061

The 6 most intense peaks (2θ from 10° to 90°), in order of rising 2θ:
2θ 22.61, d = 3.933 Å, intensity 62, hkl 0 0 2; 2θ 28.14, d = 3.171 Å, intensity 49, hkl 1 2 2; 2θ 28.42, d = 3.140 Å, intensity 40, hkl 1 2 0; 2θ 31.27, d = 2.860 Å, intensity 100, hkl 1 -2 0; 2θ 41.46, d = 2.178 Å, intensity 37, hkl 0 2 4; 2θ 43.65, d = 2.074 Å, intensity 34, hkl 2 0 2

5.
# Hf4BiH2
Computed PXRD pattern, Cu Kα, 1.54184 Å. Input: a cell relaxed with PBE.
Lines closer than 0.1° are merged.

Crystal structure
Cell lengths 5.823, 5.883, 7.823 Å; angles 70.41, 70.41, 83.38 degrees
Space group P1 (No. 1)
Symmetry-distinct sites (fractional):
Hf 0.000 0.000 0.000
Hf 0.005 0.988 0.502
Hf 0.186 0.593 0.807
Hf 0.199 0.595 0.305
Hf 0.599 0.805 0.407
Hf 0.623 0.809 0.890
Hf 0.787 0.420 0.198
Hf 0.800 0.425 0.694
Bi 0.404 0.214 0.599
Bi 0.406 0.200 0.098
H 0.254 0.738 0.999
H 0.863 0.058 0.271
H 0.895 0.704 0.230
H 0.981 0.892 0.784

The 6 most intense peaks (2θ from 10° to 90°), in order of rising 2θ:
2θ 34.35, d = 2.610 Å, intensity 100, hkl 1 2 2; 2θ 34.53, d = 2.597 Å, intensity 50, hkl -1 1 2; 2θ 34.58, d = 2.594 Å, intensity 49, hkl 2 0 2; 2θ 36.37, d = 2.470 Å, intensity 42, hkl 1 -2 0; 2θ 36.50, d = 2.461 Å, intensity 42, hkl 2 1 0; 2θ 46.43, d = 1.956 Å, intensity 22, hkl 1 1 4

6.
# HfTi7Bi2H2
Computed PXRD pattern, Cu Kα, 1.54184 Å. Input: a cell relaxed with PBE.
Lines closer than 0.1° are merged.

Crystal structure
Cell lengths 4.155, 4.155, 23.100 Å; angles 90.00, 90.00, 90.00 degrees
Space group I4/mmm (No. 139)
Symmetry-distinct sites (fractional):
Hf 0.000 0.000 0.000
Ti 0.000 0.000 0.312
Ti 0.000 0.000 0.500
Ti 0.000 0.500 0.093
Bi 0.000 0.000 0.187
H 0.000 0.000 0.403

The 6 most intense peaks (2θ from 10° to 90°), in order of rising 2θ:
2θ 21.73, d = 4.089 Å, intensity 44, hkl 1 0 1; 2θ 28.90, d = 3.089 Å, intensity 64, hkl 1 0 5; 2θ 30.43, d = 2.938 Å, intensity 47, hkl 1 1 0; 2θ 34.25, d = 2.618 Å, intensity 28, hkl 1 1 4; 2θ 38.55, d = 2.335 Å, intensity 100, hkl 1 1 6; 2θ 43.57, d = 2.077 Å, intensity 51, hkl 2 0 0